Record 1
Theoretical powder X-ray diffraction pattern of Sr2Si for a wavelength of 1.5418 Å, from a structure optimized by DFT (PBE).
Neutral-atom scattering factors, no anomalous dispersion.

Crystal structure
Unit cell a=5.4139 b=5.4139 c=7.5507 alpha=90.00 beta=90.00 gamma=120.00
Positions (direct):
1 Sr 0.0000 0.0000 0.0000
2 Sr 0.0000 0.0000 0.5000
3 Sr 0.3333 0.6667 0.2500
4 Sr 0.6667 0.3333 0.7500
5 Si 0.3333 0.6667 0.7500
6 Si 0.6667 0.3333 0.2500

Peak list (10 most intense, 2θ from 5° to 70°, low angle first)
2θ 18.93, 4.689 Å, rel. 6; 2θ 22.32, 3.983 Å, rel. 25; 2θ 30.40, 2.941 Å, rel. 100; 2θ 33.09, 2.707 Å, rel. 78; 2θ 45.55, 1.992 Å, rel. 32; 2θ 48.21, 1.888 Å, rel. 9; 2θ 57.45, 1.604 Å, rel. 32; 2θ 59.11, 1.563 Å, rel. 14; 2θ 59.72, 1.548 Å, rel. 28; 2θ 69.44, 1.353 Å, rel. 9


Record 2
Theoretical powder X-ray diffraction pattern of Sr5Si3 for a wavelength of 1.5418 Å, from a structure optimized by DFT (PBE).
Neutral-atom scattering factors, no anomalous dispersion.

Crystal structure
Unit cell a=9.4610 b=9.4610 c=9.4610 alpha=96.78 beta=96.78 gamma=139.80
Positions (direct):
1 Sr 0.0844 0.7936 0.8780
2 Sr 0.2064 0.0844 0.2908
3 Sr 0.2500 0.7500 0.5000
4 Sr 0.2936 0.5844 0.8780
5 Sr 0.4156 0.2936 0.7092
6 Sr 0.5844 0.7064 0.2908
7 Sr 0.7064 0.4156 0.1220
8 Sr 0.7500 0.2500 0.5000
9 Sr 0.7936 0.9156 0.7092
10 Sr 0.9156 0.2064 0.1220
11 Si 0.1543 0.3457 0.5000
12 Si 0.2500 0.2500 0.0000
13 Si 0.3457 0.8457 0.1915
14 Si 0.6543 0.1543 0.8085
15 Si 0.7500 0.7500 0.0000
16 Si 0.8457 0.6543 0.5000

Peak list (10 most intense, 2θ from 5° to 70°, low angle first)
2θ 22.37, 3.973 Å, rel. 37; 2θ 27.43, 3.251 Å, rel. 26; 2θ 29.07, 3.072 Å, rel. 89; 2θ 30.97, 2.888 Å, rel. 35; 2θ 31.85, 2.810 Å, rel. 50; 2θ 32.45, 2.759 Å, rel. 100; 2θ 34.17, 2.624 Å, rel. 44; 2θ 49.52, 1.841 Å, rel. 20; 2θ 51.42, 1.777 Å, rel. 29; 2θ 51.75, 1.766 Å, rel. 26


What did the first record say?
Theoretical powder X-ray diffraction pattern of Sr2Si for a wavelength of 1.5418 Å, from a structure optimized by DFT (PBE).
Neutral-atom scattering factors, no anomalous dispersion.

Crystal structure
Unit cell a=5.4139 b=5.4139 c=7.5507 alpha=90.00 beta=90.00 gamma=120.00
Positions (direct):
1 Sr 0.0000 0.0000 0.0000
2 Sr 0.0000 0.0000 0.5000
3 Sr 0.3333 0.6667 0.2500
4 Sr 0.6667 0.3333 0.7500
5 Si 0.3333 0.6667 0.7500
6 Si 0.6667 0.3333 0.2500

Peak list (10 most intense, 2θ from 5° to 70°, low angle first)
2θ 18.93, 4.689 Å, rel. 6; 2θ 22.32, 3.983 Å, rel. 25; 2θ 30.40, 2.941 Å, rel. 100; 2θ 33.09, 2.707 Å, rel. 78; 2θ 45.55, 1.992 Å, rel. 32; 2θ 48.21, 1.888 Å, rel. 9; 2θ 57.45, 1.604 Å, rel. 32; 2θ 59.11, 1.563 Å, rel. 14; 2θ 59.72, 1.548 Å, rel. 28; 2θ 69.44, 1.353 Å, rel. 9